This entry pairs a crystal structure of HoCd11Hg with its computed PXRD pattern. Radiation: Cu Kα (weighted mean of Kα1 and Kα2). Structure: a DFT-relaxed cell (PBE, Alexandria).
Neutral-atom scattering factors, no anomalous dispersion.

Structure:
```
HoCd11Hg
1.0
3.0168 -7.0142 0.0000
3.0168 7.0142 0.0000
-2.9663 0.0000 7.0290
Ho Cd Hg
1 11 1
direct
0.0000 0.0000 0.0000
0.0000 0.0000 0.5000
0.0000 0.5000 0.0000
0.0031 0.6520 0.6508
0.2843 0.4968 0.7884
0.3480 0.9969 0.3492
0.4968 0.2843 0.7884
0.5000 0.0000 0.0000
0.5032 0.7157 0.2116
0.6520 0.0031 0.6508
0.7157 0.5032 0.2116
0.9969 0.3480 0.3492
0.5000 0.5000 0.5000
```

Principal peaks in the range 2θ = 15–90°, low angle first:
| d_spacing | I (rel.) |
| --- | --- |
| 2.584 | 58 |
| 2.572 | 60 |
| 2.502 | 100 |
| 2.483 | 82 |
| 2.287 | 45 |
| 2.220 | 48 |